Diffraction record for Ac2TbDyTe6. The powder X-ray diffraction pattern is computed, not measured: it uses a GGA-PBE-relaxed structure and Cu Kα.
No peak broadening, texture or thermal motion is included.

```
data_Ac2TbDyTe6
_cell_length_a 8.4598
_cell_length_b 8.4598
_cell_length_c 8.4598
_cell_angle_alpha 57.23
_cell_angle_beta 57.23
_cell_angle_gamma 57.23
_space_group_name_H-M_alt 'P 1'
_space_group_IT_number 1
loop_
_space_group_symop_operation_xyz
'x,y,z'
loop_
_atom_site_label
_atom_site_fract_x
_atom_site_fract_y
_atom_site_fract_z
_atom_site_occupancy
Ac1 0.0000 0.0000 0.0000 1
Ac2 0.4998 0.4998 0.4998 1
Tb1 0.2988 0.2988 0.2988 1
Dy1 0.7990 0.7990 0.7990 1
Te1 0.0687 0.4318 0.6686 1
Te2 0.1679 0.9306 0.5700 1
Te3 0.4318 0.6686 0.0687 1
Te4 0.5700 0.1679 0.9306 1
Te5 0.6686 0.0687 0.4318 1
Te6 0.9306 0.5700 0.1679 1
```

Largest 10 diffraction maxima, by angle, 10 to 90 degrees two-theta:
2θ = 15.15°, I = 38.3
2θ = 21.04°, I = 52.3
2θ = 21.94°, I = 29.0
2θ = 25.35°, I = 88.0
2θ = 30.58°, I = 54.6
2θ = 33.71°, I = 100.0
2θ = 37.96°, I = 36.7
2θ = 38.49°, I = 69.1
2θ = 44.76°, I = 29.1
2θ = 52.08°, I = 21.9